# 1
This entry pairs a crystal structure of PmNd3Sm3Te8 with its calculated powder diffractogram. Radiation: Cu Kα (λ = 1.5418 Å). Structure: DFT lattice parameters and positions (GGA-PBE).
Lines closer than 0.1° are merged.

a b c (Å): 8.9039 8.9039 21.8440
angles (deg): 90.00 90.00 120.00
Space group R-3m (No. 166, hexagonal axes)
Unique sites:
1 Pm 0.0000 0.0000 0.0000 (multiplicity 3)
2 Nd 0.0000 0.5000 0.5000 (multiplicity 9)
3 Sm 0.0000 0.5000 0.0000 (multiplicity 9)
4 Te 0.0000 0.0000 0.2514 (multiplicity 6)
5 Te 0.0091 0.5046 0.2491 (multiplicity 18)

Main lines, in order of rising 2θ (10° ≤ 2θ ≤ 90°):
(hkl), 2θ/deg, Rel. int.
0 2 4, 28.34, 100
2 0 8, 40.50, 76
0 0 12, 50.17, 27
0 4 8, 58.62, 13
2 2 12, 66.37, 35
0 2 16, 73.66, 19

---

# 2
This entry pairs a crystal structure of Y2Ag4Te5 with its calculated powder diffractogram. Radiation: Cu Kα (λ = 1.5418 Å). Structure: DFT lattice parameters and positions (GGA-PBE).
Lines closer than 0.1° are merged.

a b c (Å): 4.4576 4.4576 57.4206
angles (deg): 90.00 90.00 120.00
Space group R-3m (No. 166, hexagonal axes)
Unique sites:
1 Y 0.0000 0.0000 0.1357 (multiplicity 6)
2 Ag 0.0000 0.0000 0.3160 (multiplicity 6)
3 Ag 0.0000 0.0000 0.4153 (multiplicity 6)
4 Te 0.0000 0.0000 0.2282 (multiplicity 6)
5 Te 0.0000 0.0000 0.3678 (multiplicity 6)
6 Te 0.0000 0.0000 0.5000 (multiplicity 3)

Main lines, in order of rising 2θ (10° ≤ 2θ ≤ 90°):
(hkl), 2θ/deg, Rel. int.
1 0 1, 23.09, 50
0 0 15, 23.24, 26
0 1 11, 28.76, 90
1 1 0, 40.47, 100
1 0 22, 41.78, 73
2 1 22, 74.50, 25